# CaVAu
Simulated XRD peak list, copper Kα. Input: a crystal structure in Alexandria, relaxed with GGA-PBE.
Intensities are scaled so that the largest is 100.

Top 8 peaks for 10° ≤ 2θ ≤ 80°, low angle first:
15.4 deg, 5.744 Å, I = 100, (0 0 1)
17.0 deg, 5.223 Å, I = 63, (0 1 0)
27.6 deg, 3.235 Å, I = 32, (1 -1 0)
31.9 deg, 2.802 Å, I = 25, (1 1 -1)
32.2 deg, 2.780 Å, I = 34, (0 1 2)
36.7 deg, 2.446 Å, I = 51, (1 0 2)
38.4 deg, 2.345 Å, I = 59, (1 2 1)
40.9 deg, 2.208 Å, I = 55, (2 0 0)

Structure:
a b c (Å): 4.4437 5.3728 5.8882
angles (deg): 77.43 86.87 84.35
Space group P-1 (No. 2)
Unique sites:
Ca  0.2407  0.2642  0.4027
V  0.1887  0.9021  0.9974
Au  0.2791  0.4143  0.8641

=====

# CaY4Au5
Simulated XRD peak list, copper Kα. Input: a crystal structure in Alexandria, relaxed with GGA-PBE.
Intensities are scaled so that the largest is 100.

Top 8 peaks for 10° ≤ 2θ ≤ 80°, low angle first:
24.3 deg, 3.658 Å, I = 10, (0 0 5)
24.8 deg, 3.597 Å, I = 21, (1 0 0)
35.0 deg, 2.565 Å, I = 100, (1 0 5)
35.3 deg, 2.543 Å, I = 50, (1 1 0)
50.8 deg, 1.798 Å, I = 18, (2 0 0)
62.6 deg, 1.485 Å, I = 17, (1 1 10)
63.1 deg, 1.472 Å, I = 36, (2 1 5)
73.9 deg, 1.282 Å, I = 11, (2 0 10)

Structure:
a b c (Å): 3.5968 3.5968 18.2889
angles (deg): 90.00 90.00 90.00
Space group P4/mmm (No. 123)
Unique sites:
Ca  0.0000  0.0000  0.0000
Y  0.0000  0.0000  0.2004
Y  0.0000  0.0000  0.4005
Au  0.5000  0.5000  0.1088
Au  0.5000  0.5000  0.3015
Au  0.5000  0.5000  0.5000

=====

# Ca5Zn2Au5
Simulated XRD peak list, copper Kα. Input: a crystal structure in Alexandria, relaxed with GGA-PBE.
Intensities are scaled so that the largest is 100.

Top 8 peaks for 10° ≤ 2θ ≤ 80°, low angle first:
22.3 deg, 3.993 Å, I = 59, (1 1 0)
23.8 deg, 3.733 Å, I = 67, (2 0 -3)
31.7 deg, 2.826 Å, I = 58, (3 1 -3)
34.0 deg, 2.637 Å, I = 40, (1 1 -3)
38.1 deg, 2.359 Å, I = 100, (5 1 -1)
42.7 deg, 2.116 Å, I = 37, (0 2 0)
44.7 deg, 2.026 Å, I = 29, (3 1 2)
46.2 deg, 1.965 Å, I = 26, (7 1 -4)

Structure:
a b c (Å): 15.8023 4.2311 11.4505
angles (deg): 90.00 130.26 90.00
Space group C2/m (No. 12)
Unique sites:
Ca  0.0000  0.0000  0.0000
Ca  0.0994  0.0000  0.4131
Ca  0.1986  0.0000  0.8255
Zn  0.1435  0.5000  0.2577
Au  0.0000  0.5000  0.5000
Au  0.0638  0.5000  0.8535
Au  0.2356  0.5000  0.6650

=====

# Ca2ZnAu2
Simulated XRD peak list, copper Kα. Input: a crystal structure in Alexandria, relaxed with GGA-PBE.
Intensities are scaled so that the largest is 100.

Top 8 peaks for 10° ≤ 2θ ≤ 80°, low angle first:
24.3 deg, 3.667 Å, I = 100, (1 2 1)
26.3 deg, 3.394 Å, I = 29, (2 0 0)
28.8 deg, 3.098 Å, I = 25, (0 4 0)
29.1 deg, 3.064 Å, I = 27, (0 0 2)
39.4 deg, 2.288 Å, I = 37, (2 4 0)
39.6 deg, 2.274 Å, I = 38, (2 0 2)
41.5 deg, 2.178 Å, I = 36, (0 4 2)
45.2 deg, 2.008 Å, I = 26, (3 2 1)

Structure:
a b c (Å): 6.7886 12.3909 6.1278
angles (deg): 90.00 90.00 90.00
Space group Ibam (No. 72)
Unique sites:
Ca  0.1804  0.1436  0.0000
Zn  0.0000  0.5000  0.2500
Au  0.2363  0.3847  0.0000

=====

# Ca3Zn2Au6
Simulated XRD peak list, copper Kα. Input: a crystal structure in Alexandria, relaxed with GGA-PBE.
Intensities are scaled so that the largest is 100.

Top 8 peaks for 10° ≤ 2θ ≤ 80°, low angle first:
12.6 deg, 7.027 Å, I = 53, (1 1 0)
21.9 deg, 4.057 Å, I = 26, (2 1 1)
33.7 deg, 2.656 Å, I = 36, (3 2 1)
38.4 deg, 2.342 Å, I = 100, (3 3 0)
40.6 deg, 2.222 Å, I = 18, (4 2 0)
50.3 deg, 1.814 Å, I = 18, (5 2 1)
57.1 deg, 1.612 Å, I = 15, (5 3 2)
69.5 deg, 1.352 Å, I = 36, (6 3 3)

Structure:
a b c (Å): 9.9379 9.9379 9.9379
angles (deg): 90.00 90.00 90.00
Space group Im-3m (No. 229)
Unique sites:
Ca  0.0000  0.0000  0.3001
Zn  0.2500  0.2500  0.2500
Au  0.0000  0.3179  0.3179

=====

# Ca2Zn7Au12
Simulated XRD peak list, copper Kα. Input: a crystal structure in Alexandria, relaxed with GGA-PBE.
Intensities are scaled so that the largest is 100.

Top 8 peaks for 10° ≤ 2θ ≤ 80°, low angle first:
16.7 deg, 5.300 Å, I = 21, (1 1 0)
33.7 deg, 2.656 Å, I = 100, (2 1 1)
41.7 deg, 2.167 Å, I = 23, (4 -1 1)
42.9 deg, 2.106 Å, I = 27, (3 2 0)
43.9 deg, 2.064 Å, I = 18, (0 0 2)
45.2 deg, 2.005 Å, I = 34, (1 4 0)
63.1 deg, 1.474 Å, I = 14, (5 -3 2)
76.2 deg, 1.250 Å, I = 16, (5 3 1)

Structure:
a b c (Å): 10.6003 10.6003 4.1274
angles (deg): 90.00 90.00 120.00
Space group P-3 (No. 147)
Unique sites:
Ca  0.3333  0.6667  0.2443
Zn  0.0000  0.0000  0.5000
Zn  0.1093  0.7063  0.7332
Au  0.0754  0.4500  0.7553
Au  0.1236  0.2592  0.2290

=====

# Ca2Zn7Au
Simulated XRD peak list, copper Kα. Input: a crystal structure in Alexandria, relaxed with GGA-PBE.
Intensities are scaled so that the largest is 100.

Top 8 peaks for 10° ≤ 2θ ≤ 80°, low angle first:
15.5 deg, 5.735 Å, I = 40, (0 0 2)
22.9 deg, 3.876 Å, I = 31, (1 0 1)
31.9 deg, 2.802 Å, I = 26, (1 0 3)
34.5 deg, 2.597 Å, I = 100, (1 1 2)
44.0 deg, 2.059 Å, I = 50, (2 0 0)
44.3 deg, 2.043 Å, I = 57, (1 1 4)
45.2 deg, 2.004 Å, I = 22, (1 0 5)
74.7 deg, 1.270 Å, I = 20, (3 1 2)

Structure:
a b c (Å): 4.1187 4.1187 11.4702
angles (deg): 90.00 90.00 90.00
Space group P-4m2 (No. 115)
Unique sites:
Ca  0.0000  0.5000  0.2487
Zn  0.0000  0.0000  0.0000
Zn  0.0000  0.5000  0.6439
Zn  0.0000  0.5000  0.8621
Zn  0.5000  0.5000  0.0000
Zn  0.5000  0.5000  0.5000
Au  0.0000  0.0000  0.5000

=====

# Ca2Zn3Au9
Simulated XRD peak list, copper Kα. Input: a crystal structure in Alexandria, relaxed with GGA-PBE.
Intensities are scaled so that the largest is 100.

Top 8 peaks for 10° ≤ 2θ ≤ 80°, low angle first:
20.7 deg, 4.282 Å, I = 41, (1 1 1)
25.2 deg, 3.538 Å, I = 44, (0 2 2)
33.3 deg, 2.689 Å, I = 29, (2 0 0)
35.7 deg, 2.513 Å, I = 37, (0 4 0)
36.1 deg, 2.491 Å, I = 33, (0 0 4)
41.8 deg, 2.160 Å, I = 73, (1 3 3)
42.2 deg, 2.141 Å, I = 100, (2 2 2)
49.6 deg, 1.837 Å, I = 28, (1 1 5)

Structure:
a b c (Å): 5.3782 10.0530 9.9640
angles (deg): 90.00 90.00 90.00
Space group C222 (No. 21)
Unique sites:
Ca  0.2500  0.2500  0.2423
Zn  0.0000  0.0000  0.5000
Zn  0.0000  0.5000  0.0000
Zn  0.0000  0.5000  0.5000
Au  0.0000  0.0000  0.0000
Au  0.2477  0.4507  0.7410
Au  0.2500  0.2500  0.5427
Au  0.2500  0.2500  0.9410

=====

# Ca2Zn3Au9
Simulated XRD peak list, copper Kα. Input: a crystal structure in Alexandria, relaxed with GGA-PBE.
Intensities are scaled so that the largest is 100.

Top 8 peaks for 10° ≤ 2θ ≤ 80°, low angle first:
24.2 deg, 3.685 Å, I = 28, (3 1 0)
28.8 deg, 3.096 Å, I = 37, (3 1 -3)
35.4 deg, 2.539 Å, I = 100, (3 1 2)
35.4 deg, 2.532 Å, I = 48, (3 1 -4)
39.3 deg, 2.292 Å, I = 92, (3 3 -1)
43.5 deg, 2.081 Å, I = 42, (3 3 -3)
68.6 deg, 1.367 Å, I = 31, (6 4 1)
68.7 deg, 1.365 Å, I = 20, (9 1 0)

Structure:
a b c (Å): 13.7328 7.9521 10.8873
angles (deg): 90.00 114.67 90.00
Space group C2/c (No. 15)
Unique sites:
Ca  0.1665  0.0836  0.2503
Zn  0.0882  0.2353  0.4996
Zn  0.2500  0.2500  0.0000
Au  0.0000  0.3633  0.2500
Au  0.0604  0.0904  0.9318
Au  0.1085  0.3068  0.7484
Au  0.1086  0.4170  0.0783
Au  0.2241  0.4205  0.4336

=====

# CaZnAu
Simulated XRD peak list, copper Kα. Input: a crystal structure in Alexandria, relaxed with GGA-PBE.
Intensities are scaled so that the largest is 100.

Top 8 peaks for 10° ≤ 2θ ≤ 80°, low angle first:
23.4 deg, 3.801 Å, I = 71, (1 1 1)
27.1 deg, 3.292 Å, I = 37, (2 0 0)
38.7 deg, 2.328 Å, I = 100, (2 2 0)
45.7 deg, 1.985 Å, I = 39, (3 1 1)
55.9 deg, 1.646 Å, I = 17, (4 0 0)
61.4 deg, 1.510 Å, I = 16, (3 3 1)
63.2 deg, 1.472 Å, I = 14, (4 2 0)
70.0 deg, 1.344 Å, I = 34, (4 2 2)

Structure:
a b c (Å): 6.5841 6.5841 6.5841
angles (deg): 90.00 90.00 90.00
Space group F-43m (No. 216)
Unique sites:
Ca  0.0000  0.0000  0.0000
Zn  0.2500  0.2500  0.2500
Au  0.0000  0.0000  0.5000

=====

# CaZnAu11
Simulated XRD peak list, copper Kα. Input: a crystal structure in Alexandria, relaxed with GGA-PBE.
Intensities are scaled so that the largest is 100.

Top 8 peaks for 10° ≤ 2θ ≤ 80°, low angle first:
36.9 deg, 2.437 Å, I = 43, (2 2 0)
37.2 deg, 2.414 Å, I = 43, (1 1 2)
37.8 deg, 2.383 Å, I = 82, (1 5 0)
38.0 deg, 2.369 Å, I = 100, (0 4 2)
41.3 deg, 2.188 Å, I = 39, (2 0 1)
42.1 deg, 2.147 Å, I = 91, (2 4 -1)
42.6 deg, 2.122 Å, I = 36, (0 2 3)
42.8 deg, 2.114 Å, I = 91, (2 0 -3)

Structure:
a b c (Å): 5.6015 13.3767 7.1854
angles (deg): 90.00 110.91 90.00
Space group C2/m (No. 12)
Unique sites:
Ca  0.0000  0.0000  0.0000
Zn  0.0000  0.5000  0.5000
Au  0.0000  0.0000  0.5000
Au  0.0929  0.3940  0.2209
Au  0.1689  0.1712  0.3492
Au  0.2500  0.2500  0.0000

=====

# Ca3Zn2Au4
Simulated XRD peak list, copper Kα. Input: a crystal structure in Alexandria, relaxed with GGA-PBE.
Intensities are scaled so that the largest is 100.

Top 8 peaks for 10° ≤ 2θ ≤ 80°, low angle first:
22.2 deg, 3.998 Å, I = 46, (1 1 -1)
24.3 deg, 3.664 Å, I = 52, (2 0 1)
31.4 deg, 2.845 Å, I = 32, (3 1 -1)
33.2 deg, 2.701 Å, I = 86, (1 1 2)
39.0 deg, 2.308 Å, I = 100, (0 2 0)
46.5 deg, 1.953 Å, I = 58, (2 2 1)
49.7 deg, 1.833 Å, I = 21, (4 0 2)
52.1 deg, 1.755 Å, I = 21, (2 0 -5)

Structure:
a b c (Å): 10.8355 4.6215 8.7895
angles (deg): 90.00 112.80 90.00
Space group C2/m (No. 12)
Unique sites:
Ca  0.0000  0.0000  0.0000
Ca  0.1418  0.5000  0.6889
Zn  0.1600  0.5000  0.3324
Au  0.0856  0.0000  0.4077
Au  0.2203  0.5000  0.0735

=====

# CaZnAu
Simulated XRD peak list, copper Kα. Input: a crystal structure in Alexandria, relaxed with GGA-PBE.
Intensities are scaled so that the largest is 100.

Top 8 peaks for 10° ≤ 2θ ≤ 80°, low angle first:
16.8 deg, 5.280 Å, I = 46, (2 0 -1)
22.4 deg, 3.968 Å, I = 49, (2 0 0)
23.0 deg, 3.867 Å, I = 48, (1 1 -1)
24.6 deg, 3.622 Å, I = 41, (2 0 -2)
32.1 deg, 2.792 Å, I = 50, (1 1 1)
33.8 deg, 2.655 Å, I = 54, (3 1 -2)
39.3 deg, 2.292 Å, I = 100, (3 1 0)
39.4 deg, 2.286 Å, I = 42, (0 2 0)

Structure:
a b c (Å): 10.6043 4.5724 7.2473
angles (deg): 90.00 131.47 90.00
Space group C2/m (No. 12)
Unique sites:
Ca  0.0484  0.0000  0.3045
Zn  0.1592  0.5000  0.0975
Au  0.1744  0.5000  0.7242